For Cu2H2CO5, a cell relaxed with PBE gives the simulated powder XRD pattern in this record (CuKα).
Lines closer than 0.1° are merged.

Lattice parameters (Å, degrees): 3.332 12.045 9.923 90.00 103.15 90.00
Space group P2_1/c (No. 14)
Inequivalent atoms, fractional coordinates:
1 Cu 0.108 0.211 0.005 (multiplicity 4)
2 Cu 0.377 0.610 0.228 (multiplicity 4)
3 H 0.154 0.010 0.102 (multiplicity 4)
4 H 0.186 0.098 0.485 (multiplicity 4)
5 C 0.468 0.636 0.766 (multiplicity 4)
6 O 0.115 0.152 0.407 (multiplicity 4)
7 O 0.124 0.088 0.131 (multiplicity 4)
8 O 0.304 0.626 0.634 (multiplicity 4)
9 O 0.356 0.054 0.662 (multiplicity 4)
10 O 0.459 0.733 0.826 (multiplicity 4)

The 10 most intense peaks (10° ≤ 2θ ≤ 90°), in order of rising 2θ:
hkl 0 2 0, 14.7 deg, I = 40; hkl 0 2 1, 17.4 deg, I = 59; hkl 0 2 2, 23.6 deg, I = 56; hkl 1 0 -2, 29.5 deg, I = 100; hkl 1 1 -2, 30.4 deg, I = 43; hkl 0 4 2, 35.1 deg, I = 41; hkl 1 1 2, 37.5 deg, I = 19; hkl 1 5 -1, 46.6 deg, I = 19; hkl 1 4 -4, 51.6 deg, I = 33; hkl 2 1 0, 57.3 deg, I = 30

---

For LiCd2Rh, a cell relaxed with PBE gives the simulated powder XRD pattern in this record (CuKα).
Lines closer than 0.1° are merged.

Lattice parameters (Å, degrees): 6.509 6.509 6.509 90.00 90.00 90.00
Space group Fm-3m (No. 225)
Inequivalent atoms, fractional coordinates:
1 Li 0.000 0.000 0.000 (multiplicity 4)
2 Cd 0.250 0.250 0.250 (multiplicity 8)
3 Rh 0.000 0.000 0.500 (multiplicity 4)

The 10 most intense peaks (10° ≤ 2θ ≤ 90°), in order of rising 2θ:
hkl 1 1 1, 23.7 deg, I = 22; hkl 2 0 0, 27.4 deg, I = 16; hkl 2 2 0, 39.1 deg, I = 100; hkl 3 1 1, 46.3 deg, I = 11; hkl 2 2 2, 48.4 deg, I = 4; hkl 4 0 0, 56.6 deg, I = 16; hkl 3 3 1, 62.2 deg, I = 4; hkl 4 2 0, 64.0 deg, I = 5; hkl 4 2 2, 70.9 deg, I = 33; hkl 4 4 0, 84.1 deg, I = 10